Record 1
Calculated powder diffraction line list of Nd2UPd9 for Cu Kα, 1.54184 Å, from a GGA-PBE-relaxed structure.

Structure:
a b c (Å): 4.175 4.175 12.528
angles (deg): 90.00 90.00 90.00
Sites, in units of the cell vectors:
1 Nd 0.000 0.000 0.165
2 Nd 0.000 0.000 0.835
3 U 0.000 0.000 0.500
4 Pd 0.000 0.500 0.000
5 Pd 0.000 0.500 0.342
6 Pd 0.000 0.500 0.658
7 Pd 0.500 0.000 0.000
8 Pd 0.500 0.000 0.342
9 Pd 0.500 0.000 0.658
10 Pd 0.500 0.500 0.170
11 Pd 0.500 0.500 0.500
12 Pd 0.500 0.500 0.830

Peak list (8 most intense, 2θ from 5° to 70°, by angle)
| Position (°2θ) | I (rel.) |
| --- | --- |
| 7.06 | 5 |
| 21.28 | 5 |
| 30.27 | 4 |
| 37.30 | 100 |
| 43.34 | 49 |
| 48.77 | 3 |
| 53.77 | 2 |
| 62.96 | 32 |

---

Record 2
Calculated powder diffraction line list of NdY4Pd for Cu Kα, 1.54184 Å, from a GGA-PBE-relaxed structure.

Structure:
a b c (Å): 5.677 7.591 9.720
angles (deg): 90.00 106.94 90.00
Sites, in units of the cell vectors:
1 Nd 0.119 0.000 0.238
2 Nd 0.881 0.500 0.762
3 Y 0.122 0.500 0.244
4 Y 0.295 0.257 0.591
5 Y 0.295 0.743 0.591
6 Y 0.500 0.251 0.000
7 Y 0.500 0.751 0.000
8 Y 0.705 0.243 0.409
9 Y 0.705 0.757 0.409
10 Y 0.878 0.000 0.756
11 Pd 0.398 0.000 0.797
12 Pd 0.602 0.500 0.203

Peak list (8 most intense, 2θ from 5° to 70°, by angle)
| Position (°2θ) | I (rel.) |
| --- | --- |
| 24.28 | 31 |
| 28.70 | 100 |
| 30.40 | 91 |
| 31.52 | 65 |
| 37.40 | 39 |
| 44.36 | 63 |
| 56.83 | 20 |
| 58.50 | 21 |

---

Record 3
Calculated powder diffraction line list of NdZn8Pd4 for Cu Kα, 1.54184 Å, from a GGA-PBE-relaxed structure.

Structure:
a b c (Å): 6.825 6.825 6.825
angles (deg): 99.30 99.30 132.60
Sites, in units of the cell vectors:
1 Nd 0.000 0.000 0.000
2 Zn 0.000 0.350 0.350
3 Zn 0.000 0.650 0.650
4 Zn 0.281 0.500 0.781
5 Zn 0.350 0.000 0.350
6 Zn 0.500 0.281 0.781
7 Zn 0.500 0.719 0.219
8 Zn 0.650 0.000 0.650
9 Zn 0.719 0.500 0.219
10 Pd 0.000 0.000 0.500
11 Pd 0.000 0.500 0.000
12 Pd 0.500 0.000 0.000
13 Pd 0.500 0.500 0.500

Peak list (8 most intense, 2θ from 5° to 70°, by angle)
| Position (°2θ) | I (rel.) |
| --- | --- |
| 34.56 | 38 |
| 38.64 | 100 |
| 40.30 | 76 |
| 40.84 | 65 |
| 43.92 | 60 |
| 45.92 | 29 |
| 57.48 | 20 |
| 63.47 | 23 |

---

Record 4
Calculated powder diffraction line list of Nd2Zn12Pd5 for Cu Kα, 1.54184 Å, from a GGA-PBE-relaxed structure.

Structure:
a b c (Å): 6.884 6.884 6.884
angles (deg): 83.77 83.77 83.77
Sites, in units of the cell vectors:
1 Nd 0.166 0.166 0.166
2 Nd 0.834 0.834 0.834
3 Zn 0.153 0.153 0.652
4 Zn 0.153 0.652 0.153
5 Zn 0.212 0.500 0.788
6 Zn 0.212 0.788 0.500
7 Zn 0.348 0.847 0.847
8 Zn 0.500 0.212 0.788
9 Zn 0.500 0.788 0.212
10 Zn 0.652 0.153 0.153
11 Zn 0.788 0.212 0.500
12 Zn 0.788 0.500 0.212
13 Zn 0.847 0.348 0.847
14 Zn 0.847 0.847 0.348
15 Pd 0.000 0.500 0.500
16 Pd 0.396 0.396 0.396
17 Pd 0.500 0.000 0.500
18 Pd 0.500 0.500 0.000
19 Pd 0.604 0.604 0.604

Peak list (8 most intense, 2θ from 5° to 70°, by angle)
| Position (°2θ) | I (rel.) |
| --- | --- |
| 28.13 | 27 |
| 33.78 | 44 |
| 39.20 | 100 |
| 39.70 | 100 |
| 40.64 | 24 |
| 41.16 | 82 |
| 44.51 | 58 |
| 58.15 | 26 |